TmCd2: calculated powder diffractogram (Cu Kα X-rays), based on the PBE geometry in the Materials Project.
Peak positions follow from Bragg's law for the DFT cell and can differ from measured ones.

Largest 12 diffraction maxima, sorted by position, 2θ from 10° to 90°:
2θ (°)	d [Å]	Rel. int.
18.96	4.682	7
27.87	3.201	50
33.14	2.703	100
33.92	2.643	8
43.84	2.065	87
57.59	1.601	5
59.21	1.561	18
66.67	1.403	24
68.08	1.377	19
69.56	1.352	11
76.51	1.245	16
87.25	1.117	10

Atomic structure:
```
data_TmCd2
_chemical_formula_sum 'Tm1 Cd2'
_symmetry_space_group_name_H-M 'P 1'
_symmetry_Int_Tables_number 1
_cell_length_a 5.4062
_cell_length_b 5.4062
_cell_length_c 3.2012
_cell_angle_alpha 90.00
_cell_angle_beta 90.00
_cell_angle_gamma 120.00
loop_
_symmetry_equiv_pos_as_xyz
'x,y,z'
loop_
_atom_site_label
_atom_site_type_symbol
_atom_site_fract_x
_atom_site_fract_y
_atom_site_fract_z
Tm1 Tm 0.0000 0.0000 0.0000
Cd1 Cd 0.3333 0.6667 0.0472
Cd2 Cd 0.6667 0.3333 0.9528
```

La2Sn5Rh3: calculated powder diffractogram (Cu Kα X-rays), based on the PBE geometry in the Materials Project.
Peak positions follow from Bragg's law for the DFT cell and can differ from measured ones.

Largest 12 diffraction maxima, sorted by position, 2θ from 10° to 90°:
2θ (°)	d [Å]	Rel. int.
31.26	2.862	62
31.75	2.818	19
31.90	2.805	84
32.11	2.787	100
35.51	2.528	24
36.24	2.479	20
39.18	2.299	88
43.24	2.092	20
45.83	1.980	21
56.89	1.618	22
62.84	1.479	18
66.71	1.402	21

Atomic structure:
```
data_La2Sn5Rh3
_chemical_formula_sum 'La4 Sn10 Rh6'
_symmetry_space_group_name_H-M 'P 1'
_symmetry_Int_Tables_number 1
_cell_length_a 9.1230
_cell_length_b 9.1230
_cell_length_c 9.1230
_cell_angle_alpha 106.11
_cell_angle_beta 88.53
_cell_angle_gamma 138.44
loop_
_symmetry_equiv_pos_as_xyz
'x,y,z'
loop_
_atom_site_label
_atom_site_type_symbol
_atom_site_fract_x
_atom_site_fract_y
_atom_site_fract_z
La1 La 0.1439 0.2288 0.3726
La2 La 0.3561 0.7288 0.0849
La3 La 0.6439 0.2712 0.9151
La4 La 0.8561 0.7712 0.6274
Sn1 Sn 0.0286 0.7500 0.2786
Sn2 Sn 0.0872 0.6674 0.7546
Sn3 Sn 0.2500 0.2500 0.0000
Sn4 Sn 0.4128 0.1674 0.5802
Sn5 Sn 0.4714 0.7500 0.7214
Sn6 Sn 0.5286 0.2500 0.2786
Sn7 Sn 0.5872 0.8326 0.4198
Sn8 Sn 0.7500 0.7500 0.0000
Sn9 Sn 0.9128 0.3326 0.2454
Sn10 Sn 0.9714 0.2500 0.7214
Rh1 Rh 0.1412 0.8952 0.0365
Rh2 Rh 0.2500 0.7500 0.5000
Rh3 Rh 0.3588 0.3952 0.7540
Rh4 Rh 0.6412 0.6048 0.2460
Rh5 Rh 0.7500 0.2500 0.5000
Rh6 Rh 0.8588 0.1048 0.9635
```

GePb3: calculated powder diffractogram (Cu Kα X-rays), based on the PBE geometry in the Materials Project.
Peak positions follow from Bragg's law for the DFT cell and can differ from measured ones.

Largest 12 diffraction maxima, sorted by position, 2θ from 10° to 90°:
2θ (°)	d [Å]	Rel. int.
20.32	4.371	10
31.66	2.826	100
36.45	2.465	17
36.86	2.438	34
52.81	1.734	24
53.12	1.724	12
62.61	1.484	15
63.17	1.472	29
66.13	1.413	13
86.55	1.125	13
87.05	1.119	6
88.98	1.100	6

Atomic structure:
```
data_GePb3
_chemical_formula_sum 'Ge2 Pb6'
_symmetry_space_group_name_H-M 'P 1'
_symmetry_Int_Tables_number 1
_cell_length_a 4.8767
_cell_length_b 4.8767
_cell_length_c 9.8612
_cell_angle_alpha 90.00
_cell_angle_beta 90.00
_cell_angle_gamma 90.00
loop_
_symmetry_equiv_pos_as_xyz
'x,y,z'
loop_
_atom_site_label
_atom_site_type_symbol
_atom_site_fract_x
_atom_site_fract_y
_atom_site_fract_z
Ge1 Ge 0.0000 0.0000 0.0000
Ge2 Ge 0.5000 0.5000 0.5000
Pb1 Pb 0.0000 0.0000 0.5000
Pb2 Pb 0.0000 0.5000 0.2500
Pb3 Pb 0.0000 0.5000 0.7500
Pb4 Pb 0.5000 0.0000 0.2500
Pb5 Pb 0.5000 0.0000 0.7500
Pb6 Pb 0.5000 0.5000 0.0000
```

Sc3Si3Mo2: calculated powder diffractogram (Cu Kα X-rays), based on the PBE geometry in the Materials Project.
Peak positions follow from Bragg's law for the DFT cell and can differ from measured ones.

Largest 12 diffraction maxima, sorted by position, 2θ from 10° to 90°:
2θ (°)	d [Å]	Rel. int.
26.84	3.322	27
28.36	3.147	24
28.78	3.102	50
33.03	2.712	42
36.10	2.488	22
39.34	2.290	68
39.87	2.261	37
40.18	2.244	67
40.70	2.217	100
40.96	2.204	74
41.67	2.168	25
59.62	1.551	22

Atomic structure:
```
data_Sc3Si3Mo2
_chemical_formula_sum 'Sc6 Si6 Mo4'
_symmetry_space_group_name_H-M 'P 1'
_symmetry_Int_Tables_number 1
_cell_length_a 5.4235
_cell_length_b 7.5643
_cell_length_c 7.5643
_cell_angle_alpha 118.57
_cell_angle_beta 90.00
_cell_angle_gamma 90.00
loop_
_symmetry_equiv_pos_as_xyz
'x,y,z'
loop_
_atom_site_label
_atom_site_type_symbol
_atom_site_fract_x
_atom_site_fract_y
_atom_site_fract_z
Sc1 Sc 0.0000 0.1172 0.8828
Sc2 Sc 0.0000 0.8828 0.1172
Sc3 Sc 0.2533 0.2163 0.5520
Sc4 Sc 0.2533 0.5520 0.2163
Sc5 Sc 0.7467 0.2163 0.5520
Sc6 Sc 0.7467 0.5520 0.2163
Si1 Si 0.0000 0.2828 0.2828
Si2 Si 0.0000 0.4923 0.8750
Si3 Si 0.0000 0.8750 0.4923
Si4 Si 0.5000 0.2621 0.8841
Si5 Si 0.5000 0.5030 0.5030
Si6 Si 0.5000 0.8841 0.2621
Mo1 Mo 0.0000 0.6183 0.6183
Mo2 Mo 0.5000 0.1606 0.1606
Mo3 Mo 0.5000 0.6217 0.8820
Mo4 Mo 0.5000 0.8820 0.6217
```

AcCe3: calculated powder diffractogram (Cu Kα X-rays), based on the PBE geometry in the Materials Project.
Peak positions follow from Bragg's law for the DFT cell and can differ from measured ones.

Largest 12 diffraction maxima, sorted by position, 2θ from 10° to 90°:
2θ (°)	d [Å]	Rel. int.
30.98	2.887	100
35.79	2.509	17
35.99	2.496	34
51.66	1.769	24
51.81	1.765	12
61.34	1.511	14
61.60	1.506	28
64.57	1.443	12
84.38	1.148	12
84.61	1.145	6
86.92	1.121	6
87.27	1.117	6

Atomic structure:
```
data_AcCe3
_chemical_formula_sum 'Ac2 Ce6'
_symmetry_space_group_name_H-M 'P 1'
_symmetry_Int_Tables_number 1
_cell_length_a 4.9911
_cell_length_b 4.9911
_cell_length_c 10.0349
_cell_angle_alpha 90.00
_cell_angle_beta 90.00
_cell_angle_gamma 90.00
loop_
_symmetry_equiv_pos_as_xyz
'x,y,z'
loop_
_atom_site_label
_atom_site_type_symbol
_atom_site_fract_x
_atom_site_fract_y
_atom_site_fract_z
Ac1 Ac 0.0000 0.0000 0.0000
Ac2 Ac 0.5000 0.5000 0.5000
Ce1 Ce 0.0000 0.0000 0.5000
Ce2 Ce 0.0000 0.5000 0.2500
Ce3 Ce 0.0000 0.5000 0.7500
Ce4 Ce 0.5000 0.0000 0.2500
Ce5 Ce 0.5000 0.0000 0.7500
Ce6 Ce 0.5000 0.5000 0.0000
```

MgCd: calculated powder diffractogram (Cu Kα X-rays), based on the PBE geometry in the Materials Project.
Peak positions follow from Bragg's law for the DFT cell and can differ from measured ones.

Largest 9 diffraction maxima, sorted by position, 2θ from 10° to 90°:
2θ (°)	d [Å]	Rel. int.
25.41	3.506	51
36.24	2.479	100
44.78	2.024	15
52.18	1.753	17
58.91	1.568	19
65.19	1.431	33
76.92	1.239	10
82.56	1.169	9
88.12	1.109	15

Atomic structure:
```
data_MgCd
_chemical_formula_sum 'Mg1 Cd1'
_symmetry_space_group_name_H-M 'P 1'
_symmetry_Int_Tables_number 1
_cell_length_a 3.5056
_cell_length_b 3.5056
_cell_length_c 3.5056
_cell_angle_alpha 90.00
_cell_angle_beta 90.00
_cell_angle_gamma 90.00
loop_
_symmetry_equiv_pos_as_xyz
'x,y,z'
loop_
_atom_site_label
_atom_site_type_symbol
_atom_site_fract_x
_atom_site_fract_y
_atom_site_fract_z
Mg1 Mg 0.0000 0.0000 0.0000
Cd1 Cd 0.5000 0.5000 0.5000
```

Gd4BClO7: calculated powder diffractogram (Cu Kα X-rays), based on the PBE geometry in the Materials Project.
Peak positions follow from Bragg's law for the DFT cell and can differ from measured ones.

Largest 12 diffraction maxima, sorted by position, 2θ from 10° to 90°:
2θ (°)	d [Å]	Rel. int.
11.74	7.537	25
24.06	3.698	38
24.84	3.585	41
29.19	3.060	63
30.06	2.973	100
30.53	2.928	25
33.23	2.696	58
35.48	2.530	22
44.23	2.048	24
46.77	1.942	28
50.16	1.819	29
53.87	1.702	22

Atomic structure:
```
data_Gd4BClO7
_chemical_formula_sum 'Gd16 B4 Cl4 O28'
_symmetry_space_group_name_H-M 'P 1'
_symmetry_Int_Tables_number 1
_cell_length_a 8.8060
_cell_length_b 8.1908
_cell_length_c 12.5539
_cell_angle_alpha 90.00
_cell_angle_beta 121.15
_cell_angle_gamma 90.00
loop_
_symmetry_equiv_pos_as_xyz
'x,y,z'
loop_
_atom_site_label
_atom_site_type_symbol
_atom_site_fract_x
_atom_site_fract_y
_atom_site_fract_z
Gd1 Gd 0.0747 0.1357 0.4203
Gd2 Gd 0.0747 0.3643 0.9203
Gd3 Gd 0.0817 0.6178 0.4130
Gd4 Gd 0.0817 0.8822 0.9130
Gd5 Gd 0.3003 0.1278 0.7803
Gd6 Gd 0.3003 0.3722 0.2803
Gd7 Gd 0.3169 0.6157 0.7798
Gd8 Gd 0.3169 0.8843 0.2798
Gd9 Gd 0.6831 0.1157 0.7202
Gd10 Gd 0.6831 0.3843 0.2202
Gd11 Gd 0.6997 0.6278 0.7197
Gd12 Gd 0.6997 0.8722 0.2197
Gd13 Gd 0.9183 0.1178 0.0870
Gd14 Gd 0.9183 0.3822 0.5870
Gd15 Gd 0.9253 0.6357 0.0797
Gd16 Gd 0.9253 0.8643 0.5797
B1 B 0.3687 0.1279 0.0860
B2 B 0.3687 0.3721 0.5860
B3 B 0.6313 0.6279 0.4140
B4 B 0.6313 0.8721 0.9140
Cl1 Cl 0.3821 0.6386 0.0327
Cl2 Cl 0.3821 0.8614 0.5327
Cl3 Cl 0.6179 0.1386 0.4673
Cl4 Cl 0.6179 0.3614 0.9673
O1 O 0.0408 0.1227 0.5959
O2 O 0.0408 0.3773 0.0959
O3 O 0.0662 0.6241 0.5924
O4 O 0.0662 0.8759 0.0924
O5 O 0.1763 0.1165 0.2797
O6 O 0.1763 0.3835 0.7797
O7 O 0.1929 0.6356 0.2758
O8 O 0.1929 0.8644 0.7758
O9 O 0.2803 0.1121 0.9578
O10 O 0.2803 0.3879 0.4578
O11 O 0.3874 0.2177 0.6354
O12 O 0.3874 0.2823 0.1354
O13 O 0.4267 0.5092 0.6603
O14 O 0.4267 0.9908 0.1603
O15 O 0.5733 0.0092 0.8397
O16 O 0.5733 0.4908 0.3397
O17 O 0.6126 0.7177 0.8646
O18 O 0.6126 0.7823 0.3646
O19 O 0.7197 0.6121 0.5422
O20 O 0.7197 0.8879 0.0422
O21 O 0.8071 0.1356 0.2242
O22 O 0.8071 0.3644 0.7242
O23 O 0.8237 0.6165 0.2203
O24 O 0.8237 0.8835 0.7203
O25 O 0.9338 0.1241 0.9076
O26 O 0.9338 0.3759 0.4076
O27 O 0.9592 0.6227 0.9041
O28 O 0.9592 0.8773 0.4041
```

DyCuSn: calculated powder diffractogram (Cu Kα X-rays), based on the PBE geometry in the Materials Project.
Peak positions follow from Bragg's law for the DFT cell and can differ from measured ones.

Largest 12 diffraction maxima, sorted by position, 2θ from 10° to 90°:
2θ (°)	d [Å]	Rel. int.
22.73	3.913	8
25.77	3.457	6
33.38	2.685	100
39.91	2.259	58
43.45	2.083	2
49.39	1.845	10
52.98	1.728	27
65.29	1.429	27
68.33	1.373	25
72.47	1.304	10
82.13	1.174	8
86.09	1.129	7

Atomic structure:
```
data_DyCuSn
_chemical_formula_sum 'Dy2 Cu2 Sn2'
_symmetry_space_group_name_H-M 'P 1'
_symmetry_Int_Tables_number 1
_cell_length_a 4.5178
_cell_length_b 4.5178
_cell_length_c 7.3809
_cell_angle_alpha 90.00
_cell_angle_beta 90.00
_cell_angle_gamma 120.00
loop_
_symmetry_equiv_pos_as_xyz
'x,y,z'
loop_
_atom_site_label
_atom_site_type_symbol
_atom_site_fract_x
_atom_site_fract_y
_atom_site_fract_z
Dy1 Dy 0.0000 0.0000 0.0000
Dy2 Dy 0.0000 0.0000 0.5000
Cu1 Cu 0.3333 0.6667 0.2500
Cu2 Cu 0.6667 0.3333 0.7500
Sn1 Sn 0.3333 0.6667 0.7500
Sn2 Sn 0.6667 0.3333 0.2500
```

TiSiOs: calculated powder diffractogram (Cu Kα X-rays), based on the PBE geometry in the Materials Project.
Peak positions follow from Bragg's law for the DFT cell and can differ from measured ones.

Largest 12 diffraction maxima, sorted by position, 2θ from 10° to 90°:
2θ (°)	d [Å]	Rel. int.
15.75	5.627	41
25.05	3.555	39
27.45	3.249	65
29.73	3.005	20
37.51	2.398	100
40.91	2.206	41
42.48	2.128	53
42.55	2.125	26
49.97	1.825	53
51.41	1.777	14
68.84	1.364	24
78.95	1.213	16

Atomic structure:
```
data_TiSiOs
_chemical_formula_sum 'Ti6 Si6 Os6'
_symmetry_space_group_name_H-M 'P 1'
_symmetry_Int_Tables_number 1
_cell_length_a 7.4024
_cell_length_b 7.4024
_cell_length_c 7.4024
_cell_angle_alpha 122.60
_cell_angle_beta 81.22
_cell_angle_gamma 127.86
loop_
_symmetry_equiv_pos_as_xyz
'x,y,z'
loop_
_atom_site_label
_atom_site_type_symbol
_atom_site_fract_x
_atom_site_fract_y
_atom_site_fract_z
Ti1 Ti 0.0032 0.2500 0.2532
Ti2 Ti 0.1332 0.1058 0.5275
Ti3 Ti 0.1798 0.6273 0.0525
Ti4 Ti 0.5748 0.1273 0.9475
Ti5 Ti 0.5783 0.6058 0.4725
Ti6 Ti 0.9968 0.7500 0.7468
Si1 Si 0.2466 0.0735 0.1616
Si2 Si 0.2466 0.5850 0.6731
Si3 Si 0.5587 0.3409 0.7178
Si4 Si 0.6231 0.8409 0.2822
Si5 Si 0.9119 0.0850 0.8384
Si6 Si 0.9119 0.5735 0.3269
Os1 Os 0.3288 0.3288 0.0000
Os2 Os 0.3288 0.8288 0.5000
Os3 Os 0.5804 0.1714 0.3375
Os4 Os 0.5804 0.7429 0.9090
Os5 Os 0.8340 0.2429 0.6625
Os6 Os 0.8340 0.6714 0.0910
```